(1)
Simulated PXRD pattern
Compound: Pm2Hg2Pd5
Radiation: λ = 1.5418 Å (Cu Kα)
Structure: a structure optimized by DFT (GGA-PBE)
Peak positions follow from Bragg's law for the DFT cell and can differ from measured ones.

Crystal structure
```
data_Pm2Hg2Pd5
_cell_length_a 9.758
_cell_length_b 9.758
_cell_length_c 9.758
_cell_angle_alpha 64.40
_cell_angle_beta 149.39
_cell_angle_gamma 124.85
_space_group_name_H-M_alt 'P 1'
_space_group_IT_number 1
loop_
_space_group_symop_operation_xyz
'x,y,z'
loop_
_atom_site_label
_atom_site_fract_x
_atom_site_fract_y
_atom_site_fract_z
Pm1 0.184 0.127 0.311
Pm2 0.184 0.373 0.557
Pm3 0.816 0.627 0.443
Pm4 0.816 0.873 0.689
Hg1 0.256 0.689 0.067
Hg2 0.623 0.189 0.933
Hg3 0.707 0.207 0.500
Hg4 0.707 0.707 0.000
Pd1 0.004 0.992 0.512
Pd2 0.239 0.493 0.860
Pd3 0.239 0.879 0.246
Pd4 0.480 0.492 0.488
Pd5 0.490 0.037 0.138
Pd6 0.490 0.853 0.953
Pd7 0.632 0.379 0.140
Pd8 0.632 0.993 0.754
Pd9 0.900 0.353 0.862
Pd10 0.900 0.537 0.047
```

Principal peaks in the range 10° ≤ 2θ ≤ 90°, by angle:
| 2θ/deg | d (Å) | I_rel |
| --- | --- | --- |
| 19.8 | 4.474 | 15 |
| 22.6 | 3.934 | 19 |
| 29.3 | 3.047 | 15 |
| 29.4 | 3.034 | 20 |
| 30.9 | 2.890 | 26 |
| 34.5 | 2.600 | 14 |
| 34.8 | 2.575 | 16 |
| 36.7 | 2.449 | 22 |
| 38.0 | 2.368 | 100 |
| 38.3 | 2.350 | 27 |
| 39.9 | 2.258 | 32 |
| 44.1 | 2.052 | 21 |


(2)
Simulated PXRD pattern
Compound: PrTcP2Os
Radiation: λ = 1.5418 Å (Cu Kα)
Structure: a structure optimized by DFT (GGA-PBE)
Peak positions follow from Bragg's law for the DFT cell and can differ from measured ones.

Crystal structure
```
data_PrTcP2Os
_cell_length_a 4.155
_cell_length_b 4.155
_cell_length_c 10.018
_cell_angle_alpha 90.00
_cell_angle_beta 90.00
_cell_angle_gamma 90.00
_space_group_name_H-M_alt 'P 1'
_space_group_IT_number 1
loop_
_space_group_symop_operation_xyz
'x,y,z'
loop_
_atom_site_label
_atom_site_fract_x
_atom_site_fract_y
_atom_site_fract_z
Pr1 0.000 0.000 0.000
Pr2 0.500 0.500 0.500
Tc1 0.000 0.500 0.250
Tc2 0.500 0.000 0.750
P1 0.000 0.000 0.362
P2 0.000 0.000 0.638
P3 0.500 0.500 0.138
P4 0.500 0.500 0.862
Os1 0.000 0.500 0.750
Os2 0.500 0.000 0.250
```

Principal peaks in the range 10° ≤ 2θ ≤ 90°, by angle:
| 2θ/deg | d (Å) | I_rel |
| --- | --- | --- |
| 17.7 | 5.009 | 19 |
| 23.2 | 3.838 | 28 |
| 34.5 | 2.603 | 28 |
| 35.4 | 2.534 | 100 |
| 35.9 | 2.505 | 19 |
| 43.6 | 2.077 | 38 |
| 47.7 | 1.906 | 10 |
| 56.7 | 1.624 | 13 |
| 57.7 | 1.599 | 20 |
| 63.3 | 1.469 | 12 |
| 64.2 | 1.452 | 21 |
| 74.7 | 1.271 | 23 |


(3)
Simulated PXRD pattern
Compound: RbMgPb
Radiation: λ = 1.5418 Å (Cu Kα)
Structure: a structure optimized by DFT (GGA-PBE)
Peak positions follow from Bragg's law for the DFT cell and can differ from measured ones.

Crystal structure
```
data_RbMgPb
_cell_length_a 5.113
_cell_length_b 5.293
_cell_length_c 11.780
_cell_angle_alpha 82.61
_cell_angle_beta 77.86
_cell_angle_gamma 61.20
_space_group_name_H-M_alt 'P 1'
_space_group_IT_number 1
loop_
_space_group_symop_operation_xyz
'x,y,z'
loop_
_atom_site_label
_atom_site_fract_x
_atom_site_fract_y
_atom_site_fract_z
Rb1 0.248 0.198 0.315
Rb2 0.752 0.802 0.685
Mg1 0.306 0.465 0.922
Mg2 0.694 0.535 0.078
Pb1 0.005 0.866 0.129
Pb2 0.995 0.134 0.871
```

Principal peaks in the range 10° ≤ 2θ ≤ 90°, by angle:
| 2θ/deg | d (Å) | I_rel |
| --- | --- | --- |
| 19.1 | 4.636 | 27 |
| 20.1 | 4.407 | 100 |
| 22.8 | 3.905 | 40 |
| 22.9 | 3.882 | 37 |
| 24.3 | 3.668 | 26 |
| 25.0 | 3.555 | 51 |
| 30.7 | 2.911 | 21 |
| 31.1 | 2.878 | 22 |
| 34.0 | 2.637 | 63 |
| 34.2 | 2.624 | 28 |
| 35.1 | 2.556 | 33 |
| 36.2 | 2.480 | 41 |


(4)
Simulated PXRD pattern
Compound: Na2Tl8Pt
Radiation: λ = 1.5418 Å (Cu Kα)
Structure: a structure optimized by DFT (GGA-PBE)
Peak positions follow from Bragg's law for the DFT cell and can differ from measured ones.

Crystal structure
```
data_Na2Tl8Pt
_cell_length_a 4.898
_cell_length_b 4.898
_cell_length_c 12.804
_cell_angle_alpha 90.00
_cell_angle_beta 90.00
_cell_angle_gamma 90.00
_space_group_name_H-M_alt 'P 1'
_space_group_IT_number 1
loop_
_space_group_symop_operation_xyz
'x,y,z'
loop_
_atom_site_label
_atom_site_fract_x
_atom_site_fract_y
_atom_site_fract_z
Na1 0.000 0.000 0.191
Na2 0.000 0.000 0.809
Tl1 0.000 0.500 0.000
Tl2 0.000 0.500 0.374
Tl3 0.000 0.500 0.626
Tl4 0.500 0.000 0.000
Tl5 0.500 0.000 0.374
Tl6 0.500 0.000 0.626
Tl7 0.500 0.500 0.185
Tl8 0.500 0.500 0.815
Pt1 0.000 0.000 0.500
```

Principal peaks in the range 10° ≤ 2θ ≤ 90°, by angle:
| 2θ/deg | d (Å) | I_rel |
| --- | --- | --- |
| 19.4 | 4.575 | 17 |
| 22.9 | 3.890 | 18 |
| 25.7 | 3.464 | 12 |
| 29.3 | 3.046 | 14 |
| 33.3 | 2.689 | 100 |
| 35.0 | 2.561 | 11 |
| 36.7 | 2.449 | 52 |
| 51.6 | 1.770 | 15 |
| 52.9 | 1.732 | 18 |
| 63.9 | 1.456 | 32 |
| 64.1 | 1.453 | 13 |
| 87.7 | 1.113 | 11 |


Number 4 is which compound?
Na2Tl8Pt